The following is a theoretical powder X-ray diffraction pattern of MgBi2O4. It was derived from DFT lattice parameters and positions (GGA-PBE), using Cu Ka.

Top 10 peaks for 10 to 80 degrees two-theta, in order of falling intensity:
15.88°, I 100; 30.68°, I 93; 32.08°, I 65; 37.21°, I 57; 53.65°, I 48; 48.97°, I 35; 63.89°, I 31; 40.69°, I 31; 56.32°, I 25; 75.57°, I 22

```
MgBi2O4
1.0
0.0000 4.8323 4.8323
4.8323 0.0000 4.8323
4.8323 4.8323 0.0000
Mg Bi O
2 4 8
direct
0.1250 0.1250 0.1250
0.8750 0.8750 0.8750
0.0000 0.5000 0.5000
0.5000 0.0000 0.5000
0.5000 0.5000 0.0000
0.5000 0.5000 0.5000
0.2483 0.7506 0.7506
0.2494 0.2494 0.2494
0.2494 0.2494 0.7517
0.2494 0.7517 0.2494
0.7506 0.2483 0.7506
0.7506 0.7506 0.2483
0.7506 0.7506 0.7506
0.7517 0.2494 0.2494
```